Calculated X-ray powder pattern of TmCo2Ge3 for Cu Kα (λ = 1.5418 Å), from a PBE-relaxed structure.

Main lines, by angle (10° ≤ 2θ ≤ 90°):
31.9 deg, I = 29; 32.4 deg, I = 27; 34.0 deg, I = 14; 35.5 deg, I = 21; 36.5 deg, I = 100; 36.9 deg, I = 68; 43.5 deg, I = 26; 45.9 deg, I = 28; 46.3 deg, I = 29; 46.6 deg, I = 45; 65.7 deg, I = 15; 67.8 deg, I = 18

Structure:
```
TmCo2Ge3
1.0
7.8226 -1.9481 0.0000
7.8226 1.9481 0.0000
-2.3050 0.0000 9.2626
Tm Co Ge
3 6 9
Direct
0.0000 0.0000 0.0000 Tm
0.1484 0.1484 0.6957 Tm
0.8516 0.8516 0.3043 Tm
0.2071 0.2071 0.0828 Co
0.3568 0.3568 0.5625 Co
0.4959 0.4959 0.2362 Co
0.5041 0.5041 0.7638 Co
0.6432 0.6432 0.4375 Co
0.7929 0.7929 0.9172 Co
0.0525 0.0525 0.3510 Ge
0.2288 0.2288 0.3741 Ge
0.3569 0.3569 0.0811 Ge
0.3603 0.3603 0.8186 Ge
0.5000 0.5000 0.5000 Ge
0.6397 0.6397 0.1814 Ge
0.6431 0.6431 0.9189 Ge
0.7712 0.7712 0.6259 Ge
0.9475 0.9475 0.6490 Ge
```


Calculated X-ray powder pattern of LiNpB12 for Cu Kα (λ = 1.5418 Å), from a PBE-relaxed structure.

Main lines, by angle (10° ≤ 2θ ≤ 90°):
10.7 deg, I = 100; 21.6 deg, I = 36; 24.2 deg, I = 65; 30.7 deg, I = 66; 32.7 deg, I = 39; 37.9 deg, I = 29; 39.5 deg, I = 19; 45.5 deg, I = 26; 49.6 deg, I = 33; 50.9 deg, I = 18; 54.7 deg, I = 17; 68.4 deg, I = 19

Structure:
```
LiNpB12
1.0
4.1098 0.0000 0.0000
0.0000 4.1098 0.0000
0.0000 0.0000 8.2388
Li Np B
1 1 12
Direct
0.0000 0.0000 0.0000 Li
0.0000 0.0000 0.5000 Np
0.2000 0.5000 0.2517 B
0.2000 0.5000 0.7483 B
0.5000 0.2000 0.2517 B
0.5000 0.2000 0.7483 B
0.5000 0.5000 0.1009 B
0.5000 0.5000 0.4011 B
0.5000 0.5000 0.5989 B
0.5000 0.5000 0.8991 B
0.5000 0.8000 0.2517 B
0.5000 0.8000 0.7483 B
0.8000 0.5000 0.2517 B
0.8000 0.5000 0.7483 B
```


Calculated X-ray powder pattern of CsTcSnHgAs for Cu Kα (λ = 1.5418 Å), from a PBE-relaxed structure.

Main lines, by angle (10° ≤ 2θ ≤ 90°):
18.3 deg, I = 20; 25.0 deg, I = 23; 29.7 deg, I = 100; 31.8 deg, I = 45; 34.1 deg, I = 38; 37.1 deg, I = 30; 47.4 deg, I = 30; 49.7 deg, I = 26; 51.3 deg, I = 24; 55.4 deg, I = 18; 58.4 deg, I = 15; 61.6 deg, I = 27

Structure:
```
CsTcSnHgAs
1.0
4.8451 0.0000 0.0000
0.0000 5.2544 0.0000
0.0000 0.0000 5.6237
Cs Tc Sn Hg As
1 1 1 1 1
Direct
0.0000 0.0000 0.0000 Cs
0.5000 0.5000 0.5000 Tc
0.5000 0.0000 0.5000 Sn
0.5000 0.5000 0.0000 Hg
0.0000 0.5000 0.5000 As
```


Calculated X-ray powder pattern of Zr for Cu Kα (λ = 1.5418 Å), from a PBE-relaxed structure.

Main lines, by angle (10° ≤ 2θ ≤ 90°):
32.0 deg, I = 23; 35.0 deg, I = 100; 36.6 deg, I = 18; 37.2 deg, I = 29; 38.8 deg, I = 14; 47.7 deg, I = 14; 48.1 deg, I = 8; 61.2 deg, I = 9; 61.6 deg, I = 7; 62.0 deg, I = 13; 65.7 deg, I = 15; 80.5 deg, I = 8

Structure:
```
Zr
1.0
1.9060 -2.4934 0.0000
1.9060 2.4934 0.0000
0.0000 0.0000 14.4890
Zr
6
Direct
0.1111 0.8889 0.7500 Zr
0.3027 0.6973 0.0840 Zr
0.3027 0.6973 0.4160 Zr
0.6973 0.3027 0.5840 Zr
0.6973 0.3027 0.9160 Zr
0.8889 0.1111 0.2500 Zr
```


Calculated X-ray powder pattern of RbAgSbTe3 for Cu Kα (λ = 1.5418 Å), from a PBE-relaxed structure.

Main lines, by angle (10° ≤ 2θ ≤ 90°):
10.5 deg, I = 97; 27.0 deg, I = 100; 27.6 deg, I = 51; 31.5 deg, I = 29; 32.7 deg, I = 27; 33.6 deg, I = 20; 35.8 deg, I = 19; 40.6 deg, I = 39; 41.0 deg, I = 30; 43.9 deg, I = 38; 49.8 deg, I = 14; 50.0 deg, I = 13

Structure:
```
RbAgSbTe3
1.0
10.0801 0.0000 0.0000
0.0000 4.3984 0.0000
-3.5028 0.0000 9.8932
Rb Ag Sb Te
2 2 2 6
Direct
0.2039 0.2500 0.2559 Rb
0.7961 0.7500 0.7441 Rb
0.0649 0.2500 0.5893 Ag
0.9351 0.7500 0.4107 Ag
0.3312 0.7500 0.8661 Sb
0.6688 0.2500 0.1339 Sb
0.1251 0.2500 0.8767 Te
0.2306 0.7500 0.5537 Te
0.4685 0.7500 0.1660 Te
0.5315 0.2500 0.8340 Te
0.7694 0.2500 0.4463 Te
0.8749 0.7500 0.1233 Te
```


Calculated X-ray powder pattern of Er3Tm2S4 for Cu Kα (λ = 1.5418 Å), from a PBE-relaxed structure.

Main lines, by angle (10° ≤ 2θ ≤ 90°):
27.7 deg, I = 19; 28.3 deg, I = 26; 29.4 deg, I = 49; 32.1 deg, I = 100; 44.1 deg, I = 21; 47.9 deg, I = 38; 49.0 deg, I = 15; 54.3 deg, I = 15; 56.6 deg, I = 24; 58.8 deg, I = 17; 79.0 deg, I = 14; 79.1 deg, I = 15

Structure:
```
Er3Tm2S4
1.0
3.7991 0.0000 0.0000
-1.8996 3.2901 0.0000
0.0000 0.0000 15.7516
Er Tm S
3 2 4
Direct
0.0000 0.0000 0.0000 Er
0.3333 0.6667 0.5888 Er
0.6667 0.3333 0.4112 Er
0.3333 0.6667 0.2053 Tm
0.6667 0.3333 0.7947 Tm
0.0000 0.0000 0.3046 S
0.0000 0.0000 0.6954 S
0.3333 0.6667 0.8968 S
0.6667 0.3333 0.1032 S
```


Calculated X-ray powder pattern of Sm5Ge2Te2 for Cu Kα (λ = 1.5418 Å), from a PBE-relaxed structure.

Main lines, by angle (10° ≤ 2θ ≤ 90°):
24.8 deg, I = 43; 25.4 deg, I = 27; 30.2 deg, I = 84; 31.4 deg, I = 55; 32.0 deg, I = 93; 32.8 deg, I = 66; 34.0 deg, I = 100; 35.7 deg, I = 74; 35.8 deg, I = 74; 38.2 deg, I = 40; 46.7 deg, I = 27; 56.9 deg, I = 34

Structure:
```
Sm5Ge2Te2
1.0
7.7774 -4.0122 0.0000
7.7774 4.0122 0.0000
0.0000 0.0000 8.0707
Sm Ge Te
10 4 4
Direct
0.0000 0.0000 0.0000 Sm
0.0374 0.7097 0.6638 Sm
0.2097 0.5374 0.1638 Sm
0.2903 0.9626 0.6638 Sm
0.4626 0.7903 0.1638 Sm
0.5000 0.5000 0.5000 Sm
0.5374 0.2097 0.8362 Sm
0.7097 0.0374 0.3362 Sm
0.7903 0.4626 0.8362 Sm
0.9626 0.2903 0.3362 Sm
0.1386 0.8614 0.3633 Ge
0.3614 0.6386 0.8633 Ge
0.6386 0.3614 0.1367 Ge
0.8614 0.1386 0.6367 Ge
0.2038 0.2038 0.0000 Te
0.2962 0.2962 0.5000 Te
0.7038 0.7038 0.5000 Te
0.7962 0.7962 0.0000 Te
```


Calculated X-ray powder pattern of H2WCl for Cu Kα (λ = 1.5418 Å), from a PBE-relaxed structure.

Main lines, by angle (10° ≤ 2θ ≤ 90°):
23.7 deg, I = 79; 29.8 deg, I = 100; 38.4 deg, I = 46; 42.6 deg, I = 38; 43.2 deg, I = 73; 49.3 deg, I = 12; 58.6 deg, I = 15; 61.8 deg, I = 12; 62.3 deg, I = 49; 70.1 deg, I = 17; 78.4 deg, I = 13; 87.2 deg, I = 10

Structure:
```
H2WCl
1.0
-3.0029 3.0029 2.4083
3.0029 -3.0029 2.4083
3.0029 3.0029 -2.4083
H W Cl
4 2 2
Direct
0.0211 0.6250 0.8961 H
0.3750 0.2711 0.3961 H
0.7289 0.1250 0.1039 H
0.8750 0.9789 0.6039 H
0.0000 0.0000 0.0000 W
0.7500 0.2500 0.5000 W
0.2500 0.7500 0.5000 Cl
0.5000 0.5000 0.0000 Cl
```


Calculated X-ray powder pattern of Rb2ZnGeS4 for Cu Kα (λ = 1.5418 Å), from a PBE-relaxed structure.

Main lines, by angle (10° ≤ 2θ ≤ 90°):
14.9 deg, I = 36; 15.2 deg, I = 55; 25.8 deg, I = 36; 26.4 deg, I = 100; 27.0 deg, I = 97; 31.2 deg, I = 65; 32.6 deg, I = 54; 38.0 deg, I = 61; 45.9 deg, I = 40; 46.5 deg, I = 38; 49.6 deg, I = 23; 50.0 deg, I = 45

Structure:
```
Rb2ZnGeS4
1.0
0.0000 6.8952 11.6429
2.9909 0.0000 11.6429
2.9909 6.8952 0.0000
Rb Zn Ge S
4 2 2 8
Direct
0.0552 0.0552 0.6948 Rb
0.3052 0.3052 0.9448 Rb
0.6948 0.6948 0.0552 Rb
0.9448 0.9448 0.3052 Rb
0.3750 0.3750 0.3750 Zn
0.6250 0.6250 0.6250 Zn
0.1250 0.1250 0.1250 Ge
0.8750 0.8750 0.8750 Ge
0.0383 0.3177 0.3942 S
0.2502 0.6058 0.6823 S
0.3177 0.0383 0.7498 S
0.3942 0.7498 0.0383 S
0.6058 0.2502 0.9617 S
0.6823 0.9617 0.2502 S
0.7498 0.3942 0.3177 S
0.9617 0.6823 0.6058 S
```


Calculated X-ray powder pattern of ErTh2Te3 for Cu Kα (λ = 1.5418 Å), from a PBE-relaxed structure.

Main lines, by angle (10° ≤ 2θ ≤ 90°):
28.5 deg, I = 50; 28.7 deg, I = 100; 38.7 deg, I = 20; 40.9 deg, I = 75; 43.2 deg, I = 16; 48.8 deg, I = 23; 52.6 deg, I = 19; 59.4 deg, I = 12; 66.9 deg, I = 18; 67.2 deg, I = 16; 71.5 deg, I = 12; 77.6 deg, I = 12

Structure:
```
ErTh2Te3
1.0
7.2847 -3.1295 0.0000
7.2847 3.1295 0.0000
-2.4097 0.0000 8.0291
Er Th Te
2 4 6
Direct
0.0040 0.9960 0.7500 Er
0.9960 0.0040 0.2500 Er
0.3240 0.3254 0.9124 Th
0.3254 0.3240 0.4124 Th
0.6746 0.6760 0.5876 Th
0.6760 0.6746 0.0876 Th
0.1539 0.1553 0.5773 Te
0.1553 0.1539 0.0773 Te
0.4968 0.5032 0.2500 Te
0.5032 0.4968 0.7500 Te
0.8447 0.8461 0.9227 Te
0.8461 0.8447 0.4227 Te
```